Simulated XRD peak list of SmI3 for CuKα, from the GGA-PBE geometry in OQMD.
Intensities are scaled so that the largest is 100.

Peak list (10 most intense, 10 to 90 degrees two-theta, in order of rising 2θ)
hkl, d_spacing, I_rel
1 0 1, 6.493, 21
1 1 0, 5.249, 40
1 1 3, 3.402, 100
2 1 0, 3.320, 32
2 1 3, 2.664, 51
2 2 0, 2.624, 35
3 0 3, 2.164, 47
3 1 3, 2.078, 22
2 2 6, 1.701, 19
5 2 3, 1.317, 20

Cell and atoms:
```
16
Lattice="7.423 0.000 0.000 0.000 7.423 0.000 0.000 0.000 13.400" Properties=species:S:1:pos:R:3 pbc="T T T"
Sm 0.000 0.000 2.269
Sm 0.000 0.000 11.131
Sm 3.711 3.711 4.431
Sm 3.711 3.711 8.968
I 1.487 1.487 0.000
I 1.514 1.514 4.504
I 1.514 1.514 8.895
I 2.198 5.225 2.195
I 2.198 5.225 11.204
I 2.225 5.198 6.700
I 5.198 2.225 6.700
I 5.225 2.198 2.195
I 5.225 2.198 11.204
I 5.909 5.909 4.504
I 5.909 5.909 8.895
I 5.936 5.936 0.000
```